Entry 1:
Computed XRD peak list of La2AlGe for Cu Ka, from the GGA-PBE geometry in the Materials Project.
Neutral-atom scattering factors, no anomalous dispersion.

Principal peaks in the range 2θ from 10° to 80°, sorted by position:
| 2theta | I (rel.) | index |
| --- | --- | --- |
| 26.21 | 366 | 1 0 2 |
| 29.90 | 1000 | 1 1 1 |
| 30.15 | 544 | 0 1 3 |
| 30.68 | 251 | 0 0 4 |
| 37.17 | 389 | 1 1 3 |
| 37.61 | 190 | 1 0 4 |
| 39.30 | 247 | 0 2 0 |
| 43.23 | 188 | 2 0 0 |
| 53.61 | 214 | 2 1 3 |
| 59.01 | 148 | 0 1 7 |

Atomic structure:
Cell: 4.186 4.585 11.657 Å, 90.00 90.00 90.00°
Space group Amm2 (No. 38)
Inequivalent atoms, fractional coordinates:
La: 0.000 0.000 0.000 (multiplicity 2)
La: 0.500 0.000 0.286 (multiplicity 2)
Al: 0.500 0.000 0.577 (multiplicity 2)
Ge: 0.000 0.000 0.715 (multiplicity 2)

***

Entry 2:
Computed XRD peak list of LaAl2Ge2 for Cu Ka, from the GGA-PBE geometry in the Materials Project.
Neutral-atom scattering factors, no anomalous dispersion.

Principal peaks in the range 2θ from 10° to 80°, sorted by position:
| 2theta | I (rel.) | index |
| --- | --- | --- |
| 12.63 | 171 | 0 0 1 |
| 26.94 | 1000 | 1 0 1 |
| 35.03 | 651 | 1 0 2 |
| 41.66 | 506 | 1 1 0 |
| 45.75 | 186 | 0 1 3 |
| 50.31 | 178 | 0 2 1 |
| 55.53 | 171 | 0 2 2 |
| 58.06 | 223 | 1 1 3 |
| 67.31 | 147 | 2 1 1 |
| 71.76 | 157 | 2 1 2 |

Atomic structure:
Cell: 4.3359 4.3359 7.0066 Å, 90.00 90.00 120.00°
Space group P-3m1 (No. 164)
Inequivalent atoms, fractional coordinates:
La: 0.0000 0.0000 0.0000 (multiplicity 1)
Al: 0.3333 0.6667 0.3610 (multiplicity 2)
Ge: 0.3333 0.6667 0.7298 (multiplicity 2)